The following is a simulated X-ray powder pattern of Cr3FeRe2. It was derived from a crystal structure in Alexandria, relaxed with GGA-PBE, using Cu Kα (weighted mean of Kα1 and Kα2).
Lines closer than 0.1° are merged.

```
Cr3FeRe2
1.0
5.8350 0.0000 0.0000
0.0000 4.3457 0.0000
-1.4033 0.0000 6.0243
Cr Fe Re
6 2 4
Direct
0.0000 0.0000 0.0000
0.0000 0.5000 0.0000
0.0416 0.2500 0.6495
0.2263 0.2500 0.3600
0.7737 0.7500 0.6400
0.9584 0.7500 0.3505
0.3738 0.2500 0.0003
0.6262 0.7500 0.9997
0.2696 0.7500 0.7096
0.4278 0.7500 0.3082
0.5722 0.2500 0.6918
0.7304 0.2500 0.2904
```

Principal peaks in the range 2θ from 10° to 90°, in order of rising 2θ:
two_theta	intensity	index
15.6	31	1 0 0
25.8	36	1 1 0
29.7	24	0 0 2
31.6	28	1 1 1
36.8	65	1 1 -2
37.9	33	2 1 -1
41.6	52	0 2 0
43.5	100	2 1 1
43.8	87	2 1 -2
45.2	44	0 0 3
51.9	24	0 2 2
63.0	21	0 2 3